1.
Calculated XRD peak list of Nb2AlIr for Cu Kα, from a GGA-PBE-relaxed structure.
No peak broadening, texture or thermal motion is included.

Largest 10 diffraction maxima, in order of rising 2θ, 2θ = 5–70°:
d [Å], 2θ/deg, I (rel.), hkl
3.926, 22.6, 31, 1 0 0
2.883, 31.0, 29, 1 0 1
2.324, 38.7, 100, 1 1 1
2.124, 42.6, 19, 0 0 2
1.963, 46.2, 30, 2 0 0
1.868, 48.7, 8, 1 0 2
1.756, 52.1, 7, 2 1 0
1.623, 56.7, 11, 2 1 1
1.442, 64.6, 22, 2 0 2
1.388, 67.5, 10, 2 2 0

Structural model:
```
data_Nb2AlIr
_cell_length_a 3.9264
_cell_length_b 3.9264
_cell_length_c 4.2483
_cell_angle_alpha 90.00
_cell_angle_beta 90.00
_cell_angle_gamma 90.00
_symmetry_space_group_name_H-M 'P 4/m m m'
_symmetry_Int_Tables_number 123
_symmetry_space_group_name_Hall '-P 4 2'
loop_
_atom_site_label
_atom_site_type_symbol
_atom_site_fract_x
_atom_site_fract_y
_atom_site_fract_z
_atom_site_occupancy
Nb1 Nb 0.0000 0.5000 0.0000 1
Al1 Al 0.0000 0.0000 0.5000 1
Ir1 Ir 0.5000 0.5000 0.5000 1
```

---

2.
Calculated XRD peak list of Nd2Al9Ir6 for Cu Kα, from a GGA-PBE-relaxed structure.
No peak broadening, texture or thermal motion is included.

Largest 10 diffraction maxima, in order of rising 2θ, 2θ = 5–70°:
d [Å], 2θ/deg, I (rel.), hkl
4.785, 18.5, 20, 1 0 0
4.008, 22.2, 45, 0 0 3
2.763, 32.4, 69, 1 1 0
2.275, 39.6, 100, 1 1 3
2.054, 44.1, 9, 2 0 3
2.004, 45.2, 14, 0 0 6
1.622, 56.7, 28, 1 1 6
1.595, 57.8, 13, 3 0 0
1.482, 62.7, 26, 3 0 3
1.381, 67.8, 13, 2 2 0

Structural model:
```
data_Nd2Al9Ir6
_cell_length_a 5.5258
_cell_length_b 5.5258
_cell_length_c 12.0242
_cell_angle_alpha 90.00
_cell_angle_beta 90.00
_cell_angle_gamma 120.00
_symmetry_space_group_name_H-M 'P 6/m m m'
_symmetry_Int_Tables_number 191
_symmetry_space_group_name_Hall '-P 6 2'
loop_
_atom_site_label
_atom_site_type_symbol
_atom_site_fract_x
_atom_site_fract_y
_atom_site_fract_z
_atom_site_occupancy
Nd1 Nd 0.0000 0.0000 0.1671 1
Al1 Al 0.0000 0.5000 0.0000 1
Al2 Al 0.0000 0.5000 0.3393 1
Ir1 Ir 0.3333 0.6667 0.1722 1
Ir2 Ir 0.3333 0.6667 0.5000 1
```